No. 1
Diffraction record for Nd3Tl4SnTe8. The powder X-ray diffraction pattern is calculated, not measured: it uses a GGA-PBE-relaxed structure and Cu Kα X-rays.
Intensities are scaled so that the largest is 100.

Atomic structure:
Unit cell a=9.6045 b=9.6045 c=9.6045 alpha=56.91 beta=56.91 gamma=56.91
Fractional positions:
1 Nd 0.0000 0.5000 0.5000
2 Nd 0.5000 0.0000 0.5000
3 Nd 0.5000 0.5000 0.0000
4 Tl 0.0000 0.0000 0.5000
5 Tl 0.0000 0.5000 0.0000
6 Tl 0.5000 0.0000 0.0000
7 Tl 0.5000 0.5000 0.5000
8 Sn 0.0000 0.0000 0.0000
9 Te 0.2387 0.2387 0.7422
10 Te 0.2387 0.7422 0.2387
11 Te 0.2578 0.7613 0.7613
12 Te 0.2588 0.2588 0.2588
13 Te 0.7412 0.7412 0.7412
14 Te 0.7422 0.2387 0.2387
15 Te 0.7613 0.2578 0.7613
16 Te 0.7613 0.7613 0.2578

Most intense lines, 15 to 90 degrees two-theta, by angle:
2theta  d [Å]  I (rel.)
26.94  3.309  100
37.54  2.396  39
39.38  2.288  38
45.22  2.005  7
48.36  1.882  20
55.54  1.655  12
61.49  1.508  16
64.07  1.453  18
70.20  1.341  12
71.41  1.321  7



No. 2
Diffraction record for NdTh2Sn9. The powder X-ray diffraction pattern is calculated, not measured: it uses a GGA-PBE-relaxed structure and Cu Kα X-rays.
Intensities are scaled so that the largest is 100.

Atomic structure:
Unit cell a=4.7536 b=4.7536 c=14.2934 alpha=90.00 beta=90.00 gamma=90.00
Fractional positions:
1 Nd 0.0000 0.0000 0.0000
2 Th 0.0000 0.0000 0.3352
3 Th 0.0000 0.0000 0.6648
4 Sn 0.0000 0.5000 0.1673
5 Sn 0.0000 0.5000 0.5000
6 Sn 0.0000 0.5000 0.8327
7 Sn 0.5000 0.0000 0.1673
8 Sn 0.5000 0.0000 0.5000
9 Sn 0.5000 0.0000 0.8327
10 Sn 0.5000 0.5000 0.0000
11 Sn 0.5000 0.5000 0.3327
12 Sn 0.5000 0.5000 0.6673

Most intense lines, 15 to 90 degrees two-theta, by angle:
2theta  d [Å]  I (rel.)
18.65  4.757  5
26.50  3.364  5
32.60  2.747  100
37.82  2.379  51
54.56  1.682  36
64.94  1.436  14
65.06  1.434  29
68.30  1.373  12
89.85  1.092  13
89.96  1.091  7